Structure and theoretical powder diffraction line list of NbW2Se2S4 (a PBE-relaxed structure; copper Kα).

Principal peaks in the range 10° ≤ 2θ ≤ 80°, in order of falling intensity:
- (0 0 3), d = 7.180 Å, I 100
- (1 0 5), d = 2.368 Å, I 38
- (1 0 8), d = 1.952 Å, I 25
- (1 0 0), d = 2.834 Å, I 20
- (0 1 4), d = 2.508 Å, I 15
- (1 0 3), d = 2.636 Å, I 15

Cell and atoms:
Cell: 3.273 3.273 21.541 Å, 90.00 90.00 120.00°
Fractional coordinates of all 9 atoms:
Nb  0.000  0.000  0.000
W  0.000  0.000  0.648
W  0.667  0.333  0.326
Se  0.667  0.333  0.082
Se  0.667  0.333  0.918
S  0.000  0.000  0.254
S  0.000  0.000  0.397
S  0.667  0.333  0.576
S  0.667  0.333  0.720